# 1
For Eu2ZnBi2, the GGA-PBE geometry in the Materials Project gives the simulated powder diffractogram in this record (a wavelength of 1.5418 Å).

```
Eu2ZnBi2
1.0
8.207 0.000 0.000
0.000 2.419 4.197
0.000 -2.419 4.197
Eu Zn Bi
2 1 2
direct
0.226 0.000 0.000
0.774 0.000 0.000
0.500 0.333 0.333
0.000 0.333 0.333
0.500 0.666 0.666
```

Largest 8 diffraction maxima, sorted by position, 2θ = 10–80°:
d_spacing	Rel. int.
3.734	59
2.933	100
2.421	64
2.291	17
2.032	12
1.867	27
1.565	29
1.479	26



# 2
For Li2CuSiO4, the GGA-PBE geometry in the Materials Project gives the simulated powder diffractogram in this record (a wavelength of 1.5418 Å).

```
Li2CuSiO4
1.0
10.642 0.000 0.000
0.000 6.305 0.000
0.000 0.000 5.008
Li Cu Si O
8 4 4 16
direct
0.089 0.002 0.181
0.089 0.498 0.181
0.411 0.502 0.681
0.411 0.998 0.681
0.589 0.002 0.319
0.589 0.498 0.319
0.911 0.502 0.819
0.911 0.998 0.819
0.156 0.750 0.685
0.344 0.250 0.185
0.656 0.750 0.815
0.844 0.250 0.315
0.170 0.250 0.671
0.330 0.750 0.171
0.670 0.250 0.829
0.830 0.750 0.329
0.096 0.036 0.778
0.096 0.464 0.778
0.169 0.250 0.341
0.183 0.750 0.276
0.317 0.250 0.776
0.331 0.750 0.841
0.404 0.536 0.278
0.404 0.964 0.278
0.596 0.036 0.722
0.596 0.464 0.722
0.669 0.250 0.159
0.683 0.750 0.224
0.817 0.250 0.724
0.831 0.750 0.659
0.904 0.536 0.222
0.904 0.964 0.222
```

Largest 8 diffraction maxima, sorted by position, 2θ = 10–80°:
d_spacing	Rel. int.
5.321	44
3.647	100
3.153	48
2.712	44
2.660	36
2.504	44
2.132	27
1.546	27



# 3
For YHo3, the GGA-PBE geometry in the Materials Project gives the simulated powder diffractogram in this record (a wavelength of 1.5418 Å).

```
YHo3
1.0
7.223 0.000 0.000
-3.612 6.256 0.000
0.000 0.000 5.643
Y Ho
2 6
direct
0.333 0.667 0.250
0.667 0.333 0.750
0.166 0.332 0.750
0.166 0.834 0.750
0.332 0.166 0.250
0.668 0.834 0.750
0.834 0.166 0.250
0.834 0.668 0.250
```

Largest 8 diffraction maxima, sorted by position, 2θ = 10–80°:
d_spacing	Rel. int.
3.128	24
2.822	24
2.736	100
2.095	16
1.806	20
1.612	20
1.521	22
1.507	16